[1]
Starting from a DFT-relaxed cell (GGA-PBE, Alexandria), the X-ray diffraction stick pattern of AcNdRu was simulated for Cu Kα (weighted mean of Kα1 and Kα2).

Most intense lines, 10° ≤ 2θ ≤ 90°, in order of rising 2θ:
(0 0 1), 13.69°, intensity 20
(0 1 1), 27.95°, intensity 100
(0 1 2), 37.04°, intensity 39
(1 1 0), 42.67°, intensity 33
(1 0 3), 48.99°, intensity 23
(1 1 2), 51.56°, intensity 12
(2 0 1), 51.78°, intensity 19
(1 2 1), 69.27°, intensity 16

Structure:
```
data_AcNdRu
_chemical_formula_sum 'Ac1 Nd1 Ru1'
_symmetry_space_group_name_H-M 'P 3 m 1'
_symmetry_Int_Tables_number 156
_symmetry_space_group_name_Hall 'P 3 -2"'
_cell_length_a 4.2379
_cell_length_b 4.2379
_cell_length_c 6.4705
_cell_angle_alpha 90.00
_cell_angle_beta 90.00
_cell_angle_gamma 120.00
loop_
_atom_site_label
_atom_site_type_symbol
_atom_site_fract_x
_atom_site_fract_y
_atom_site_fract_z
Ac1 Ac 0.0000 0.0000 0.0000
Nd1 Nd 0.3333 0.6667 0.5331
Ru1 Ru 0.6667 0.3333 0.7558
```

=====

[2]
Starting from a DFT-relaxed cell (GGA-PBE, Alexandria), the X-ray diffraction stick pattern of Ac7NdRu3 was simulated for Cu Kα (weighted mean of Kα1 and Kα2).

Most intense lines, 10° ≤ 2θ ≤ 90°, in order of rising 2θ:
(0 0 2), 26.23°, intensity 16
(0 2 1), 27.65°, intensity 100
(0 2 2), 36.04°, intensity 32
(2 2 0), 42.71°, intensity 29
(2 0 3), 47.17°, intensity 25
(2 2 2), 50.82°, intensity 16
(4 0 1), 51.64°, intensity 18
(2 4 1), 69.19°, intensity 16

Structure:
```
data_Ac7NdRu3
_chemical_formula_sum 'Ac7 Nd1 Ru3'
_symmetry_space_group_name_H-M 'P 3 m 1'
_symmetry_Int_Tables_number 156
_symmetry_space_group_name_Hall 'P 3 -2"'
_cell_length_a 8.4674
_cell_length_b 8.4674
_cell_length_c 6.7939
_cell_angle_alpha 90.00
_cell_angle_beta 90.00
_cell_angle_gamma 120.00
loop_
_atom_site_label
_atom_site_type_symbol
_atom_site_fract_x
_atom_site_fract_y
_atom_site_fract_z
Ac1 Ac 0.0000 0.0000 0.0000
Ac2 Ac 0.1643 0.3286 0.5306
Ac3 Ac 0.5039 0.0078 0.0095
Nd1 Nd 0.6667 0.3333 0.5453
Ru1 Ru 0.3357 0.1679 0.7667
```

=====

[3]
Starting from a DFT-relaxed cell (GGA-PBE, Alexandria), the X-ray diffraction stick pattern of AcNdRu was simulated for Cu Kα (weighted mean of Kα1 and Kα2).

Most intense lines, 10° ≤ 2θ ≤ 90°, in order of rising 2θ:
(1 0 0), 14.20°, intensity 22
(0 0 2), 25.89°, intensity 71
(1 1 1), 30.72°, intensity 100
(2 0 -2), 30.98°, intensity 49
(0 2 0), 42.19°, intensity 21
(1 1 -3), 42.35°, intensity 42
(3 1 -1), 45.98°, intensity 32
(2 2 -2), 53.23°, intensity 32

Structure:
```
data_AcNdRu
_chemical_formula_sum 'Ac2 Nd2 Ru2'
_symmetry_space_group_name_H-M 'P 1 2 1'
_symmetry_Int_Tables_number 3
_symmetry_space_group_name_Hall 'P 2y'
_cell_length_a 6.6854
_cell_length_b 4.2835
_cell_length_c 7.3858
_cell_angle_alpha 90.00
_cell_angle_beta 111.14
_cell_angle_gamma 90.00
loop_
_atom_site_label
_atom_site_type_symbol
_atom_site_fract_x
_atom_site_fract_y
_atom_site_fract_z
Ac1 Ac 0.2479 0.0000 0.2542
Nd1 Nd 0.2736 0.4989 0.7580
Ru1 Ru 0.5000 0.4992 0.5000
Ru2 Ru 0.5000 0.9984 0.0000
```

=====

[4]
Starting from a DFT-relaxed cell (GGA-PBE, Alexandria), the X-ray diffraction stick pattern of Ac3Nd4Ru4 was simulated for Cu Kα (weighted mean of Kα1 and Kα2).

Most intense lines, 10° ≤ 2θ ≤ 90°, in order of rising 2θ:
(0 1 5), 29.17°, intensity 35
(1 2 1), 29.81°, intensity 100
(1 1 4), 32.23°, intensity 75
(0 3 3), 34.50°, intensity 34
(0 2 6), 38.84°, intensity 32
(2 0 0), 43.13°, intensity 26
(2 3 3), 56.36°, intensity 18
(1 5 4), 61.04°, intensity 22

Structure:
```
data_Ac3Nd4Ru4
_chemical_formula_sum 'Ac6 Nd8 Ru8'
_symmetry_space_group_name_H-M 'I m m m'
_symmetry_Int_Tables_number 71
_symmetry_space_group_name_Hall '-I 2 2'
_cell_length_a 4.1950
_cell_length_b 8.8806
_cell_length_c 16.3080
_cell_angle_alpha 90.00
_cell_angle_beta 90.00
_cell_angle_gamma 90.00
loop_
_atom_site_label
_atom_site_type_symbol
_atom_site_fract_x
_atom_site_fract_y
_atom_site_fract_z
Ac1 Ac 0.0000 0.0000 0.0000
Ac2 Ac 0.0000 0.5000 0.1049
Nd1 Nd 0.0000 0.3069 0.3324
Ru1 Ru 0.0000 0.0000 0.2345
Ru2 Ru 0.0000 0.2090 0.5000
```

=====

[5]
Starting from a DFT-relaxed cell (GGA-PBE, Alexandria), the X-ray diffraction stick pattern of Ac5NdRu4 was simulated for Cu Kα (weighted mean of Kα1 and Kα2).

Most intense lines, 10° ≤ 2θ ≤ 90°, in order of rising 2θ:
(3 1 0), 25.78°, intensity 38
(4 0 -2), 26.16°, intensity 18
(1 1 -2), 30.16°, intensity 100
(6 0 0), 30.64°, intensity 49
(0 2 0), 42.14°, intensity 21
(7 1 -2), 42.99°, intensity 39
(5 1 2), 44.06°, intensity 34
(6 2 0), 53.00°, intensity 21

Structure:
```
data_Ac5NdRu4
_chemical_formula_sum 'Ac10 Nd2 Ru8'
_symmetry_space_group_name_H-M 'C 1 2/m 1'
_symmetry_Int_Tables_number 12
_symmetry_space_group_name_Hall '-C 2y'
_cell_length_a 18.1209
_cell_length_b 4.2883
_cell_length_c 8.2002
_cell_angle_alpha 90.00
_cell_angle_beta 104.92
_cell_angle_gamma 90.00
loop_
_atom_site_label
_atom_site_type_symbol
_atom_site_fract_x
_atom_site_fract_y
_atom_site_fract_z
Ac1 Ac 0.0000 0.0000 0.0000
Ac2 Ac 0.1636 0.5000 0.8348
Ac3 Ac 0.1661 0.5000 0.3516
Nd1 Nd 0.0000 0.0000 0.5000
Ru1 Ru 0.0063 0.5000 0.2443
Ru2 Ru 0.1752 0.0000 0.6238
```

=====

[6]
Starting from a DFT-relaxed cell (GGA-PBE, Alexandria), the X-ray diffraction stick pattern of AcNd3S4 was simulated for Cu Kα (weighted mean of Kα1 and Kα2).

Most intense lines, 10° ≤ 2θ ≤ 90°, in order of rising 2θ:
(1 1 1), 26.38°, intensity 82
(2 0 0), 30.55°, intensity 100
(2 2 0), 43.75°, intensity 74
(3 1 1), 51.81°, intensity 42
(2 2 2), 54.30°, intensity 26
(3 3 1), 70.08°, intensity 17
(4 2 0), 72.19°, intensity 33
(4 2 2), 80.38°, intensity 25

Structure:
```
data_AcNd3S4
_chemical_formula_sum 'Ac1 Nd3 S4'
_symmetry_space_group_name_H-M 'P m -3 m'
_symmetry_Int_Tables_number 221
_symmetry_space_group_name_Hall '-P 4 2 3'
_cell_length_a 5.8525
_cell_length_b 5.8525
_cell_length_c 5.8525
_cell_angle_alpha 90.00
_cell_angle_beta 90.00
_cell_angle_gamma 90.00
loop_
_atom_site_label
_atom_site_type_symbol
_atom_site_fract_x
_atom_site_fract_y
_atom_site_fract_z
Ac1 Ac 0.0000 0.0000 0.0000
Nd1 Nd 0.0000 0.5000 0.5000
S1 S 0.0000 0.0000 0.5000
S2 S 0.5000 0.5000 0.5000
```

=====

[7]
Starting from a DFT-relaxed cell (GGA-PBE, Alexandria), the X-ray diffraction stick pattern of AcNd6S8 was simulated for Cu Kα (weighted mean of Kα1 and Kα2).

Most intense lines, 10° ≤ 2θ ≤ 90°, in order of rising 2θ:
(1 1 1), 13.27°, intensity 23
(2 2 2), 26.72°, intensity 69
(4 0 0), 30.95°, intensity 100
(4 4 0), 44.34°, intensity 73
(6 2 2), 52.52°, intensity 35
(4 4 4), 55.05°, intensity 25
(8 4 0), 73.26°, intensity 32
(8 4 4), 81.62°, intensity 24

Structure:
```
data_AcNd6S8
_chemical_formula_sum 'Ac4 Nd24 S32'
_symmetry_space_group_name_H-M 'F m -3 m'
_symmetry_Int_Tables_number 225
_symmetry_space_group_name_Hall '-F 4 2 3'
_cell_length_a 11.5572
_cell_length_b 11.5572
_cell_length_c 11.5572
_cell_angle_alpha 90.00
_cell_angle_beta 90.00
_cell_angle_gamma 90.00
loop_
_atom_site_label
_atom_site_type_symbol
_atom_site_fract_x
_atom_site_fract_y
_atom_site_fract_z
Ac1 Ac 0.0000 0.0000 0.0000
Nd1 Nd 0.0000 0.2500 0.2500
S1 S 0.0000 0.0000 0.2572
S2 S 0.2500 0.2500 0.2500
```

=====

[8]
Starting from a DFT-relaxed cell (GGA-PBE, Alexandria), the X-ray diffraction stick pattern of AcNd2S3 was simulated for Cu Kα (weighted mean of Kα1 and Kα2).

Most intense lines, 10° ≤ 2θ ≤ 90°, in order of rising 2θ:
(0 1 3), 26.29°, intensity 100
(0 2 0), 30.36°, intensity 39
(1 0 3), 30.48°, intensity 78
(1 2 3), 43.58°, intensity 72
(1 1 6), 51.67°, intensity 34
(2 2 0), 54.10°, intensity 30
(3 0 3), 71.97°, intensity 26
(3 2 3), 80.11°, intensity 19

Structure:
```
data_AcNd2S3
_chemical_formula_sum 'Ac2 Nd4 S6'
_symmetry_space_group_name_H-M 'I m m m'
_symmetry_Int_Tables_number 71
_symmetry_space_group_name_Hall '-I 2 2'
_cell_length_a 4.1459
_cell_length_b 5.8875
_cell_length_c 12.4456
_cell_angle_alpha 90.00
_cell_angle_beta 90.00
_cell_angle_gamma 90.00
loop_
_atom_site_label
_atom_site_type_symbol
_atom_site_fract_x
_atom_site_fract_y
_atom_site_fract_z
Ac1 Ac 0.0000 0.0000 0.0000
Nd1 Nd 0.0000 0.0000 0.3342
S1 S 0.0000 0.5000 0.0000
S2 S 0.0000 0.5000 0.3261
```

=====

[9]
Starting from a DFT-relaxed cell (GGA-PBE, Alexandria), the X-ray diffraction stick pattern of Ac2NdS3 was simulated for Cu Kα (weighted mean of Kα1 and Kα2).

Most intense lines, 10° ≤ 2θ ≤ 90°, in order of rising 2θ:
(2 2 0), 25.68°, intensity 48
(0 2 6), 25.95°, intensity 46
(2 0 6), 29.89°, intensity 100
(2 4 6), 42.77°, intensity 50
(4 2 6), 50.46°, intensity 25
(2 2 12), 50.89°, intensity 16
(4 4 0), 52.77°, intensity 14
(0 4 12), 53.36°, intensity 13

Structure:
```
data_Ac2NdS3
_chemical_formula_sum 'Ac32 Nd16 S48'
_symmetry_space_group_name_H-M 'F d d d'
_symmetry_Int_Tables_number 70
_cell_length_a 8.5158
_cell_length_b 11.9706
_cell_length_c 25.1561
_cell_angle_alpha 90.00
_cell_angle_beta 90.00
_cell_angle_gamma 90.00
loop_
_symmetry_equiv_pos_as_xyz
'x,y,z'
'-x,-y,-z'
'-x+1/4,-y+1/4,z'
'x+1/4,y+1/4,-z'
'x,-y+1/4,-z+1/4'
'-x,y+1/4,z+1/4'
'-x+1/4,y,-z+1/4'
'x+1/4,-y,z+1/4'
'x,y+1/2,z+1/2'
'-x,-y+1/2,-z+1/2'
'-x+1/4,-y+3/4,z+1/2'
'x+1/4,y+3/4,-z+1/2'
'x,-y+3/4,-z+3/4'
'-x,y+3/4,z+3/4'
'-x+1/4,y+1/2,-z+3/4'
'x+1/4,-y+1/2,z+3/4'
'x+1/2,y,z+1/2'
'-x+1/2,-y,-z+1/2'
'-x+3/4,-y+1/4,z+1/2'
'x+3/4,y+1/4,-z+1/2'
'x+1/2,-y+1/4,-z+3/4'
'-x+1/2,y+1/4,z+3/4'
'-x+3/4,y,-z+3/4'
'x+3/4,-y,z+3/4'
'x+1/2,y+1/2,z'
'-x+1/2,-y+1/2,-z'
'-x+3/4,-y+3/4,z'
'x+3/4,y+3/4,-z'
'x+1/2,-y+3/4,-z+1/4'
'-x+1/2,y+3/4,z+1/4'
'-x+3/4,y+1/2,-z+1/4'
'x+3/4,-y+1/2,z+1/4'
loop_
_atom_site_label
_atom_site_type_symbol
_atom_site_fract_x
_atom_site_fract_y
_atom_site_fract_z
Ac1 Ac 0.1250 0.1250 0.0425
Ac2 Ac 0.1250 0.1250 0.3742
Nd1 Nd 0.1250 0.1250 0.5416
S1 S 0.1131 0.3750 0.8750
S2 S 0.1194 0.3698 0.7102
```

=====

[10]
Starting from a DFT-relaxed cell (GGA-PBE, Alexandria), the X-ray diffraction stick pattern of AcNd3S was simulated for Cu Kα (weighted mean of Kα1 and Kα2).

Most intense lines, 10° ≤ 2θ ≤ 90°, in order of rising 2θ:
(1 1 1), 27.67°, intensity 100
(2 0 0), 32.06°, intensity 63
(2 2 0), 45.98°, intensity 47
(3 1 1), 54.51°, intensity 47
(2 2 2), 57.15°, intensity 16
(3 3 1), 74.01°, intensity 19
(4 2 0), 76.27°, intensity 21
(4 2 2), 85.13°, intensity 16

Structure:
```
data_AcNd3S
_chemical_formula_sum 'Ac1 Nd3 S1'
_symmetry_space_group_name_H-M 'P m -3 m'
_symmetry_Int_Tables_number 221
_symmetry_space_group_name_Hall '-P 4 2 3'
_cell_length_a 5.5832
_cell_length_b 5.5832
_cell_length_c 5.5832
_cell_angle_alpha 90.00
_cell_angle_beta 90.00
_cell_angle_gamma 90.00
loop_
_atom_site_label
_atom_site_type_symbol
_atom_site_fract_x
_atom_site_fract_y
_atom_site_fract_z
Ac1 Ac 0.0000 0.0000 0.0000
Nd1 Nd 0.0000 0.5000 0.5000
S1 S 0.5000 0.5000 0.5000
```

=====

[11]
Starting from a DFT-relaxed cell (GGA-PBE, Alexandria), the X-ray diffraction stick pattern of Ac2Nd2S7 was simulated for Cu Kα (weighted mean of Kα1 and Kα2).

Most intense lines, 10° ≤ 2θ ≤ 90°, in order of rising 2θ:
(0 2 1), 22.24°, intensity 86
(2 0 1), 23.47°, intensity 100
(2 2 0), 24.81°, intensity 33
(0 4 0), 33.69°, intensity 29
(4 0 0), 36.98°, intensity 25
(2 2 2), 38.92°, intensity 70
(2 4 1), 41.46°, intensity 41
(4 2 1), 43.58°, intensity 32

Structure:
```
data_Ac2Nd2S7
_chemical_formula_sum 'Ac4 Nd4 S14'
_symmetry_space_group_name_H-M 'C m m m'
_symmetry_Int_Tables_number 65
_symmetry_space_group_name_Hall '-C 2 2'
_cell_length_a 9.7229
_cell_length_b 10.6428
_cell_length_c 6.0534
_cell_angle_alpha 90.00
_cell_angle_beta 90.00
_cell_angle_gamma 90.00
loop_
_atom_site_label
_atom_site_type_symbol
_atom_site_fract_x
_atom_site_fract_y
_atom_site_fract_z
Ac1 Ac 0.2494 0.0000 0.0000
Nd1 Nd 0.0000 0.2692 0.5000
S1 S 0.0000 0.0000 0.5000
S2 S 0.0000 0.5000 0.2565
S3 S 0.2500 0.2500 0.2418
```

=====

[12]
Starting from a DFT-relaxed cell (GGA-PBE, Alexandria), the X-ray diffraction stick pattern of Ac2Nd2Se2S3 was simulated for Cu Kα (weighted mean of Kα1 and Kα2).

Most intense lines, 10° ≤ 2θ ≤ 90°, in order of rising 2θ:
(1 0 3), 23.10°, intensity 34
(1 1 2), 25.02°, intensity 88
(2 0 0), 31.74°, intensity 100
(1 0 5), 32.47°, intensity 77
(2 2 0), 45.50°, intensity 37
(2 1 5), 46.04°, intensity 59
(1 1 8), 51.63°, intensity 26
(3 1 2), 52.62°, intensity 25

Structure:
```
data_Ac2Nd2Se2S3
_chemical_formula_sum 'Ac4 Nd4 Se4 S6'
_symmetry_space_group_name_H-M 'I 4/m m m'
_symmetry_Int_Tables_number 139
_symmetry_space_group_name_Hall '-I 4 2'
_cell_length_a 5.6383
_cell_length_b 5.6383
_cell_length_c 15.8060
_cell_angle_alpha 90.00
_cell_angle_beta 90.00
_cell_angle_gamma 90.00
loop_
_atom_site_label
_atom_site_type_symbol
_atom_site_fract_x
_atom_site_fract_y
_atom_site_fract_z
Ac1 Ac 0.0000 0.0000 0.1982
Nd1 Nd 0.0000 0.5000 0.0000
Se1 Se 0.0000 0.0000 0.3989
S1 S 0.0000 0.0000 0.0000
S2 S 0.0000 0.5000 0.2500
```